Structure and theoretical PXRD pattern of PmC3N6 (DFT lattice parameters and positions (GGA-PBE); Cu Kα).

Main lines, sorted by position (15 to 90 degrees two-theta):
2θ = 15.5°, rel. 100.0
2θ = 24.6°, rel. 27.5
2θ = 29.2°, rel. 27.8
2θ = 31.2°, rel. 27.9
2θ = 33.2°, rel. 34.8
2θ = 40.2°, rel. 24.6
2θ = 41.7°, rel. 14.3
2θ = 46.2°, rel. 16.4

Structure:
```
data_PmC3N6
_cell_length_a 6.7404
_cell_length_b 6.7404
_cell_length_c 6.7404
_cell_angle_alpha 116.41
_cell_angle_beta 116.41
_cell_angle_gamma 116.41
_symmetry_space_group_name_H-M 'P 1'
_symmetry_Int_Tables_number 1
_symmetry_space_group_name_Hall 'P 1'
loop_
_atom_site_label
_atom_site_type_symbol
_atom_site_fract_x
_atom_site_fract_y
_atom_site_fract_z
Pm1 Pm 0.0000 0.0000 0.0000
C1 C 0.2924 0.2924 0.7392
C2 C 0.2924 0.7392 0.2924
C3 C 0.7392 0.2924 0.2924
N1 N 0.1665 0.1665 0.7931
N2 N 0.1665 0.7931 0.1665
N3 N 0.4102 0.4102 0.6722
N4 N 0.4102 0.6722 0.4102
N5 N 0.6722 0.4102 0.4102
N6 N 0.7931 0.1665 0.1665
```